Entry 1:
Calculated PXRD pattern of LiPd9Pb2 for copper Kα, from a crystal structure in Alexandria, relaxed with GGA-PBE.

Main lines, sorted by position (10 to 90 degrees two-theta):
two_theta, intensity, (hkl)
23.1, 7, 1 0 1
34.6, 7, 1 1 2
38.6, 100, 1 1 3
44.5, 34, 2 0 0
45.6, 14, 0 0 6
64.8, 11, 2 2 0
65.6, 19, 2 0 6
78.0, 25, 3 1 3
79.6, 10, 1 1 9
82.8, 10, 2 2 6

Structure:
a = 4.070 Å, b = 4.070 Å, c = 11.941 Å
α = 90.00°, β = 90.00°, γ = 90.00°
Space group P4/mmm (No. 123)
Asymmetric unit:
Li 0.000 0.000 0.000 [1 per cell]
Pd 0.000 0.500 0.154 [4 per cell]
Pd 0.000 0.500 0.500 [2 per cell]
Pd 0.500 0.500 0.000 [1 per cell]
Pd 0.500 0.500 0.327 [2 per cell]
Pb 0.000 0.000 0.325 [2 per cell]

---

Entry 2:
Calculated PXRD pattern of Li5Pd12Pb2 for copper Kα, from a crystal structure in Alexandria, relaxed with GGA-PBE.

Main lines, sorted by position (10 to 90 degrees two-theta):
two_theta, intensity, (hkl)
20.2, 33, 0 2 0
22.9, 16, 1 1 1
35.6, 19, 2 0 -2
36.6, 15, 3 3 0
38.7, 14, 3 3 -1
39.8, 30, 6 0 -1
41.0, 20, 0 4 0
41.3, 100, 4 2 1
58.5, 14, 6 4 -1
73.2, 10, 8 2 -3

Structure:
a = 13.904 Å, b = 8.805 Å, c = 5.093 Å
α = 90.00°, β = 103.91°, γ = 90.00°
Space group C2/m (No. 12)
Asymmetric unit:
Li 0.000 0.000 0.000 [2 per cell]
Li 0.149 0.500 0.369 [4 per cell]
Li 0.221 0.000 0.968 [4 per cell]
Pd 0.053 0.500 0.783 [4 per cell]
Pd 0.102 0.253 0.107 [8 per cell]
Pd 0.156 0.000 0.426 [4 per cell]
Pd 0.201 0.274 0.705 [8 per cell]
Pb 0.000 0.212 0.500 [4 per cell]

---

Entry 3:
Calculated PXRD pattern of LiPdPb for copper Kα, from a crystal structure in Alexandria, relaxed with GGA-PBE.

Main lines, sorted by position (10 to 90 degrees two-theta):
two_theta, intensity, (hkl)
22.8, 63, 1 0 0
36.4, 100, 0 1 1
40.1, 51, 1 1 0
46.6, 10, 2 0 0
55.3, 30, 2 0 1
58.0, 6, 0 0 2
63.1, 17, 1 0 2
70.4, 30, 1 2 1
72.8, 26, 3 0 0
86.5, 6, 2 2 0

Structure:
a = 4.5006 Å, b = 4.5006 Å, c = 3.1827 Å
α = 90.00°, β = 90.00°, γ = 120.00°
Space group P3m1 (No. 156)
Asymmetric unit:
Li 0.0000 0.0000 0.0000 [1 per cell]
Pd 0.3333 0.6667 0.0770 [1 per cell]
Pb 0.6667 0.3333 0.5404 [1 per cell]